No. 1
Starting from a cell relaxed with PBE, the PXRD pattern of Ho5Zr3Ni16As12 was calculated for copper Kα.
No peak broadening, texture or thermal motion is included.

a b c (Å): 12.7280 12.7280 3.9022
angles (deg): 90.00 90.00 120.00
Fractional positions:
Ho (0.0000, 0.1838, 0.0000)
Ho (0.1838, 0.0000, 0.0000)
Ho (0.3333, 0.6667, 0.5000)
Ho (0.6667, 0.3333, 0.5000)
Ho (0.8162, 0.8162, 0.0000)
Zr (0.0000, 0.5627, 0.5000)
Zr (0.4373, 0.4373, 0.5000)
Zr (0.5627, 0.0000, 0.5000)
Ni (0.0000, 0.0000, 0.5000)
Ni (0.0000, 0.7235, 0.0000)
Ni (0.1211, 0.4822, 0.0000)
Ni (0.1831, 0.8072, 0.5000)
Ni (0.1928, 0.3759, 0.5000)
Ni (0.2765, 0.2765, 0.0000)
Ni (0.3611, 0.8789, 0.0000)
Ni (0.3759, 0.1928, 0.5000)
Ni (0.4822, 0.1211, 0.0000)
Ni (0.5178, 0.6389, 0.0000)
Ni (0.6241, 0.8169, 0.5000)
Ni (0.6389, 0.5178, 0.0000)
Ni (0.7235, 0.0000, 0.0000)
Ni (0.8072, 0.1831, 0.5000)
Ni (0.8169, 0.6241, 0.5000)
Ni (0.8789, 0.3611, 0.0000)
As (0.0000, 0.3544, 0.5000)
As (0.0000, 0.8219, 0.5000)
As (0.1724, 0.6930, 0.0000)
As (0.1781, 0.1781, 0.5000)
As (0.3070, 0.4794, 0.0000)
As (0.3544, 0.0000, 0.5000)
As (0.4794, 0.3070, 0.0000)
As (0.5206, 0.8276, 0.0000)
As (0.6456, 0.6456, 0.5000)
As (0.6930, 0.1724, 0.0000)
As (0.8219, 0.0000, 0.5000)
As (0.8276, 0.5206, 0.0000)

Principal peaks in the range 2θ = 10–90°, sorted by position:
| d_spacing | intensity |
| --- | --- |
| 2.675 | 27 |
| 2.466 | 100 |
| 2.406 | 80 |
| 1.951 | 36 |
| 1.837 | 33 |
| 1.644 | 22 |
| 1.338 | 22 |
| 1.204 | 18 |

---

No. 2
Starting from a cell relaxed with PBE, the PXRD pattern of Na2Mg2Ge2PdPt was calculated for copper Kα.
No peak broadening, texture or thermal motion is included.

a b c (Å): 4.6109 4.6109 6.5020
angles (deg): 90.00 90.00 90.00
Fractional positions:
Na (0.0000, 0.0000, 0.0000)
Na (0.5000, 0.5000, 0.5000)
Mg (0.0000, 0.5000, 0.2484)
Mg (0.5000, 0.0000, 0.7516)
Ge (0.0000, 0.5000, 0.7512)
Ge (0.5000, 0.0000, 0.2488)
Pd (0.0000, 0.0000, 0.5000)
Pt (0.5000, 0.5000, 0.0000)

Principal peaks in the range 2θ = 10–90°, sorted by position:
| d_spacing | intensity |
| --- | --- |
| 3.761 | 59 |
| 2.303 | 100 |
| 1.966 | 20 |
| 1.961 | 10 |
| 1.630 | 11 |
| 1.495 | 13 |
| 1.330 | 22 |
| 1.328 | 11 |